# 1
Diffraction record for Pu3GaRh2. The powder diffraction line list is simulated, not measured: it uses the PBE geometry in Alexandria and a wavelength of 1.5418 Å.
Intensities are scaled so that the largest is 100.

Structural model:
```
Pu3GaRh2
1.0
8.015 0.000 0.000
0.000 6.588 0.000
-0.320 0.000 9.379
Pu Ga Rh
12 4 8
direct
0.090 0.181 0.370 Pu
0.090 0.319 0.870 Pu
0.262 0.501 0.166 Pu
0.262 0.999 0.666 Pu
0.289 0.017 0.088 Pu
0.289 0.483 0.588 Pu
0.711 0.517 0.412 Pu
0.711 0.983 0.912 Pu
0.738 0.001 0.334 Pu
0.738 0.499 0.834 Pu
0.910 0.681 0.130 Pu
0.910 0.819 0.630 Pu
0.398 0.670 0.882 Ga
0.398 0.830 0.382 Ga
0.602 0.170 0.618 Ga
0.602 0.330 0.118 Ga
0.086 0.730 0.387 Rh
0.086 0.770 0.887 Rh
0.444 0.229 0.363 Rh
0.444 0.271 0.863 Rh
0.556 0.729 0.137 Rh
0.556 0.771 0.637 Rh
0.914 0.230 0.113 Rh
0.914 0.270 0.613 Rh
```

Peak list (10 most intense, 2θ from 5° to 70°, most intense first)
hkl 2 2 0, 2θ = 35.31°, I 100; hkl 1 2 -2, 2θ = 34.91°, I 41; hkl 3 0 2, 2θ = 39.40°, I 38; hkl 0 0 4, 2θ = 38.40°, I 36; hkl 3 0 -2, 2θ = 38.21°, I 32; hkl 0 1 3, 2θ = 31.68°, I 17; hkl 2 0 -2, 2θ = 28.78°, I 14; hkl 1 1 -3, 2θ = 33.31°, I 12; hkl 2 0 0, 2θ = 22.23°, I 11; hkl 4 2 0, 2θ = 53.55°, I 11

***

# 2
Diffraction record for BC3. The powder diffraction line list is simulated, not measured: it uses the PBE geometry in Alexandria and a wavelength of 1.5418 Å.
Intensities are scaled so that the largest is 100.

Structural model:
```
BC3
1.0
2.549 0.000 0.000
-1.274 2.207 0.000
0.000 0.000 4.400
B C
1 3
direct
0.000 0.000 0.000 B
0.000 0.000 0.632 C
0.667 0.333 0.164 C
0.667 0.333 0.508 C
```

Peak list (6 most intense, 2θ from 5° to 70°, most intense first)
hkl 1 0 0, 2θ = 40.88°, I 100; hkl 0 1 1, 2θ = 46.00°, I 73; hkl 0 0 2, 2θ = 41.03°, I 49; hkl 1 0 2, 2θ = 59.31°, I 18; hkl 0 0 1, 2θ = 20.18°, I 14; hkl 0 0 3, 2θ = 63.42°, I 1